(1)
Calculated X-ray powder pattern
Compound: MgFe6O6F6
Radiation: Cu Kα X-rays
Structure: a crystal structure in the Materials Project, relaxed with PBE+U
Peak positions follow from Bragg's law for the DFT cell and can differ from measured ones.

Cell lengths 3.059, 5.211, 15.534 Å; angles 95.59, 90.59, 93.37 degrees
Space group P1 (No. 1)
Inequivalent atoms, fractional coordinates:
1 Mg 0.000 0.000 0.000 x1
2 Fe 0.008 0.334 0.363 x1
3 Fe 0.035 0.379 0.668 x1
4 Fe 0.471 0.024 0.179 x1
5 Fe 0.503 0.984 0.801 x1
6 Fe 0.507 0.960 0.509 x1
7 Fe 0.850 0.528 0.085 x1
8 O 0.011 0.082 0.442 x1
9 O 0.029 0.185 0.761 x1
10 O 0.419 0.780 0.063 x1
11 O 0.496 0.234 0.289 x1
12 O 0.522 0.240 0.599 x1
13 O 0.992 0.199 0.126 x1
14 F 0.002 0.759 0.559 x1
15 F 0.510 0.584 0.413 x1
16 F 0.532 0.236 0.977 x1
17 F 0.539 0.637 0.714 x1
18 F 0.945 0.781 0.214 x1
19 F 0.963 0.835 0.883 x1

Peak list (12 most intense, 2θ from 10° to 90°, sorted by position)
2θ 11.45, intensity 33.0, hkl 0 0 2
2θ 17.17, intensity 63.3, hkl 0 0 3
2θ 23.13, intensity 100.0, hkl 0 1 -3
2θ 25.56, intensity 58.6, hkl 0 1 3
2θ 30.19, intensity 25.6, hkl 0 1 4
2θ 33.88, intensity 20.1, hkl 1 0 -3
2θ 34.38, intensity 20.4, hkl 1 0 3
2θ 35.00, intensity 23.0, hkl 1 1 0
2θ 36.99, intensity 19.5, hkl 1 -1 3
2θ 37.27, intensity 26.2, hkl 1 0 -4
2θ 38.23, intensity 36.1, hkl 1 1 -3
2θ 46.88, intensity 17.2, hkl 1 -2 3

=====

(2)
Calculated X-ray powder pattern
Compound: MgFe12O12F12
Radiation: Cu Kα X-rays
Structure: a crystal structure in the Materials Project, relaxed with PBE+U
Peak positions follow from Bragg's law for the DFT cell and can differ from measured ones.

Cell lengths 9.619, 3.132, 14.468 Å; angles 90.00, 91.99, 90.00 degrees
Space group Pm (No. 6)
Inequivalent atoms, fractional coordinates:
1 Mg 0.000 0.000 0.000 x1
2 Fe 0.142 0.000 0.556 x1
3 Fe 0.183 0.000 0.207 x1
4 Fe 0.197 0.000 0.846 x1
5 Fe 0.366 0.500 0.034 x1
6 Fe 0.388 0.500 0.371 x1
7 Fe 0.400 0.500 0.691 x1
8 Fe 0.622 0.000 0.224 x1
9 Fe 0.655 0.000 0.878 x1
10 Fe 0.673 0.000 0.534 x1
11 Fe 0.880 0.500 0.374 x1
12 Fe 0.891 0.500 0.182 x1
13 Fe 0.895 0.500 0.693 x1
14 O 0.005 0.000 0.132 x1
15 O 0.054 0.500 0.611 x1
16 O 0.256 0.500 0.144 x1
17 O 0.262 0.000 0.973 x1
18 O 0.275 0.500 0.797 x1
19 O 0.291 0.000 0.322 x1
20 O 0.315 0.000 0.635 x1
21 O 0.537 0.500 0.290 x1
22 O 0.695 0.500 0.155 x1
23 O 0.746 0.500 0.473 x1
24 O 0.803 0.000 0.642 x1
25 O 0.815 0.000 0.302 x1
26 F 0.012 0.000 0.774 x1
27 F 0.046 0.500 0.926 x1
28 F 0.058 0.500 0.285 x1
29 F 0.236 0.500 0.482 x1
30 F 0.474 0.000 0.091 x1
31 F 0.488 0.000 0.456 x1
32 F 0.514 0.000 0.762 x1
33 F 0.525 0.500 0.935 x1
34 F 0.564 0.500 0.605 x1
35 F 0.765 0.500 0.805 x1
36 F 0.807 0.000 0.971 x1
37 F 0.996 0.000 0.444 x1

Peak list (12 most intense, 2θ from 10° to 90°, sorted by position)
2θ 25.72, intensity 69.8, hkl 2 0 -3
2θ 26.64, intensity 86.8, hkl 2 0 3
2θ 34.16, intensity 100.0, hkl 2 1 0
2θ 38.77, intensity 26.2, hkl 2 1 -3
2θ 42.58, intensity 15.7, hkl 4 0 3
2θ 50.99, intensity 48.4, hkl 2 1 -6
2θ 52.04, intensity 48.3, hkl 2 1 6
2θ 52.86, intensity 11.9, hkl 4 0 -6
2θ 54.88, intensity 17.3, hkl 4 0 6
2θ 58.99, intensity 26.1, hkl 0 2 0
2θ 65.27, intensity 15.2, hkl 0 1 9
2θ 65.43, intensity 22.6, hkl 6 1 0

=====

(3)
Calculated X-ray powder pattern
Compound: MgFe12O12F12
Radiation: Cu Kα X-rays
Structure: a crystal structure in the Materials Project, relaxed with PBE+U
Peak positions follow from Bragg's law for the DFT cell and can differ from measured ones.

Cell lengths 9.658, 3.107, 14.679 Å; angles 90.00, 95.64, 90.00 degrees
Space group Pm (No. 6)
Inequivalent atoms, fractional coordinates:
1 Mg 0.000 0.000 0.000 x1
2 Fe 0.050 0.000 0.205 x1
3 Fe 0.124 0.000 0.511 x1
4 Fe 0.144 0.000 0.827 x1
5 Fe 0.296 0.500 0.067 x1
6 Fe 0.309 0.500 0.346 x1
7 Fe 0.373 0.500 0.662 x1
8 Fe 0.574 0.000 0.194 x1
9 Fe 0.595 0.000 0.521 x1
10 Fe 0.673 0.000 0.828 x1
11 Fe 0.731 0.500 0.018 x1
12 Fe 0.827 0.500 0.342 x1
13 Fe 0.851 0.500 0.662 x1
14 O 0.106 0.500 0.093 x1
15 O 0.192 0.500 0.449 x1
16 O 0.231 0.000 0.279 x1
17 O 0.265 0.000 0.617 x1
18 O 0.387 0.000 0.115 x1
19 O 0.513 0.500 0.576 x1
20 O 0.630 0.500 0.128 x1
21 O 0.728 0.000 0.293 x1
22 O 0.745 0.500 0.767 x1
23 O 0.771 0.000 0.600 x1
24 O 0.795 0.000 0.943 x1
25 O 0.980 0.500 0.264 x1
26 F 0.018 0.500 0.578 x1
27 F 0.035 0.500 0.904 x1
28 F 0.243 0.000 0.960 x1
29 F 0.258 0.500 0.781 x1
30 F 0.432 0.000 0.415 x1
31 F 0.478 0.500 0.269 x1
32 F 0.484 0.000 0.739 x1
33 F 0.569 0.500 0.893 x1
34 F 0.682 0.500 0.447 x1
35 F 0.885 0.000 0.108 x1
36 F 0.933 0.000 0.425 x1
37 F 0.983 0.000 0.729 x1

Peak list (12 most intense, 2θ from 10° to 90°, sorted by position)
2θ 24.72, intensity 74.0, hkl 2 0 -3
2θ 27.33, intensity 100.0, hkl 2 0 3
2θ 29.22, intensity 47.4, hkl 2 0 -4
2θ 34.24, intensity 71.6, hkl 0 1 3
2θ 34.37, intensity 45.0, hkl 2 1 0
2θ 34.60, intensity 20.9, hkl 2 1 -1
2θ 38.26, intensity 23.1, hkl 2 1 -3
2θ 52.52, intensity 33.6, hkl 4 1 -4
2θ 52.79, intensity 37.5, hkl 2 1 6
2θ 54.85, intensity 24.4, hkl 2 1 -7
2θ 59.51, intensity 28.2, hkl 0 2 0
2θ 65.29, intensity 22.8, hkl 6 1 -1

=====

(4)
Calculated X-ray powder pattern
Compound: MgFe4O4F4
Radiation: Cu Kα X-rays
Structure: a crystal structure in the Materials Project, relaxed with PBE+U
Peak positions follow from Bragg's law for the DFT cell and can differ from measured ones.

Cell lengths 5.463, 5.468, 5.928 Å; angles 108.05, 111.04, 105.82 degrees
Space group P1 (No. 1)
Inequivalent atoms, fractional coordinates:
1 Mg 0.000 0.000 0.000 x1
2 Fe 0.141 0.518 0.043 x1
3 Fe 0.242 0.392 0.580 x1
4 Fe 0.474 0.097 0.955 x1
5 Fe 0.812 0.660 0.420 x1
6 O 0.081 0.148 0.723 x1
7 O 0.098 0.689 0.762 x1
8 O 0.424 0.356 0.277 x1
9 O 0.926 0.335 0.238 x1
10 F 0.080 0.859 0.273 x1
11 F 0.574 0.816 0.207 x1
12 F 0.587 0.807 0.726 x1
13 F 0.610 0.367 0.792 x1

Peak list (12 most intense, 2θ from 10° to 90°, sorted by position)
2θ 18.95, intensity 55.4, hkl 0 1 0
2θ 19.31, intensity 51.6, hkl 0 1 -1
2θ 26.80, intensity 32.2, hkl -1 1 1
2θ 27.83, intensity 54.6, hkl 1 -1 1
2θ 31.78, intensity 64.1, hkl 0 1 1
2θ 32.68, intensity 100.0, hkl 1 1 -2
2θ 34.11, intensity 40.9, hkl 2 0 -1
2θ 35.27, intensity 50.0, hkl 1 -2 1
2θ 43.03, intensity 81.8, hkl -1 2 1
2θ 43.54, intensity 32.1, hkl 1 2 -2
2θ 44.57, intensity 42.5, hkl 2 -1 1
2θ 51.34, intensity 52.2, hkl 2 0 1

=====

(5)
Calculated X-ray powder pattern
Compound: MgFe12O12F12
Radiation: Cu Kα X-rays
Structure: a crystal structure in the Materials Project, relaxed with PBE+U
Peak positions follow from Bragg's law for the DFT cell and can differ from measured ones.

Cell lengths 9.747, 3.100, 14.820 Å; angles 90.00, 92.52, 90.00 degrees
Space group Pm (No. 6)
Inequivalent atoms, fractional coordinates:
1 Mg 0.000 0.000 0.000 x1
2 Fe 0.009 0.500 0.812 x1
3 Fe 0.237 0.000 0.334 x1
4 Fe 0.276 0.000 0.657 x1
5 Fe 0.319 0.000 0.993 x1
6 Fe 0.449 0.500 0.182 x1
7 Fe 0.495 0.500 0.514 x1
8 Fe 0.496 0.500 0.822 x1
9 Fe 0.710 0.000 0.094 x1
10 Fe 0.744 0.000 0.342 x1
11 Fe 0.751 0.000 0.647 x1
12 Fe 0.972 0.500 0.501 x1
13 Fe 0.973 0.500 0.205 x1
14 O 0.072 0.000 0.256 x1
15 O 0.325 0.500 0.284 x1
16 O 0.342 0.500 0.594 x1
17 O 0.359 0.000 0.118 x1
18 O 0.377 0.500 0.932 x1
19 O 0.405 0.000 0.761 x1
20 O 0.592 0.000 0.565 x1
21 O 0.596 0.500 0.097 x1
22 O 0.808 0.500 0.276 x1
23 O 0.849 0.500 0.603 x1
24 O 0.889 0.000 0.439 x1
25 O 0.911 0.000 0.116 x1
26 F 0.089 0.000 0.566 x1
27 F 0.116 0.000 0.886 x1
28 F 0.140 0.500 0.033 x1
29 F 0.145 0.500 0.415 x1
30 F 0.160 0.500 0.718 x1
31 F 0.395 0.000 0.440 x1
32 F 0.560 0.000 0.257 x1
33 F 0.605 0.000 0.878 x1
34 F 0.635 0.500 0.407 x1
35 F 0.659 0.500 0.725 x1
36 F 0.892 0.000 0.761 x1
37 F 0.907 0.500 0.938 x1

Peak list (12 most intense, 2θ from 10° to 90°, sorted by position)
2θ 25.12, intensity 74.7, hkl 2 0 -3
2θ 26.27, intensity 100.0, hkl 2 0 3
2θ 29.67, intensity 33.2, hkl 2 0 -4
2θ 34.16, intensity 55.3, hkl 0 1 3
2θ 34.29, intensity 61.9, hkl 2 1 0
2θ 39.36, intensity 35.1, hkl 2 1 3
2θ 51.53, intensity 27.3, hkl 2 1 6
2θ 51.81, intensity 36.8, hkl 4 1 3
2θ 53.09, intensity 17.2, hkl 4 1 -4
2θ 55.21, intensity 17.1, hkl 2 1 -7
2θ 59.65, intensity 25.8, hkl 0 2 0
2θ 64.88, intensity 23.7, hkl 6 1 -1

=====

(6)
Calculated X-ray powder pattern
Compound: MgFe4O4F4
Radiation: Cu Kα X-rays
Structure: a crystal structure in the Materials Project, relaxed with PBE+U
Peak positions follow from Bragg's law for the DFT cell and can differ from measured ones.

Cell lengths 5.174, 5.421, 5.958 Å; angles 90.06, 91.08, 99.69 degrees
Space group P1 (No. 1)
Inequivalent atoms, fractional coordinates:
1 Mg 0.000 0.000 0.000 x1
2 Fe 0.114 0.494 0.725 x1
3 Fe 0.119 0.488 0.256 x1
4 Fe 0.489 0.036 0.988 x1
5 Fe 0.535 0.132 0.493 x1
6 O 0.197 0.722 0.978 x1
7 O 0.312 0.221 0.738 x1
8 O 0.313 0.198 0.240 x1
9 O 0.844 0.391 0.502 x1
10 F 0.302 0.743 0.505 x1
11 F 0.733 0.922 0.744 x1
12 F 0.734 0.923 0.241 x1
13 F 0.858 0.320 0.982 x1

Peak list (12 most intense, 2θ from 10° to 90°, sorted by position)
2θ 16.59, intensity 27.3, hkl 0 1 0
2θ 17.39, intensity 20.1, hkl 1 0 0
2θ 21.97, intensity 100.0, hkl 1 -1 0
2θ 22.35, intensity 18.2, hkl 0 1 -1
2θ 26.11, intensity 76.1, hkl 1 1 0
2θ 34.41, intensity 22.9, hkl 0 1 -2
2θ 34.56, intensity 41.2, hkl 0 1 2
2θ 35.19, intensity 46.9, hkl 1 -2 0
2θ 37.27, intensity 19.2, hkl -1 1 2
2θ 37.72, intensity 19.5, hkl 1 -1 2
2θ 51.75, intensity 22.2, hkl 2 1 -2
2θ 62.33, intensity 22.8, hkl 0 0 4

=====

(7)
Calculated X-ray powder pattern
Compound: MgFe6O6F6
Radiation: Cu Kα X-rays
Structure: a crystal structure in the Materials Project, relaxed with PBE+U
Peak positions follow from Bragg's law for the DFT cell and can differ from measured ones.

Cell lengths 5.115, 5.738, 7.934 Å; angles 84.31, 85.50, 83.87 degrees
Space group P1 (No. 1)
Inequivalent atoms, fractional coordinates:
1 Mg 0.000 0.000 0.000 x1
2 Fe 0.013 0.985 0.487 x1
3 Fe 0.050 0.378 0.200 x1
4 Fe 0.464 0.447 0.475 x1
5 Fe 0.490 0.159 0.834 x1
6 Fe 0.527 0.807 0.152 x1
7 Fe 0.978 0.621 0.786 x1
8 O 0.205 0.252 0.419 x1
9 O 0.313 0.134 0.056 x1
10 O 0.322 0.446 0.722 x1
11 O 0.679 0.501 0.267 x1
12 O 0.716 0.862 0.906 x1
13 O 0.855 0.710 0.575 x1
14 F 0.168 0.664 0.040 x1
15 F 0.188 0.963 0.746 x1
16 F 0.322 0.781 0.402 x1
17 F 0.705 0.183 0.592 x1
18 F 0.823 0.327 0.906 x1
19 F 0.859 0.000 0.250 x1

Peak list (12 most intense, 2θ from 10° to 90°, sorted by position)
2θ 23.79, intensity 100.0, hkl 1 1 1
2θ 27.08, intensity 89.6, hkl -1 1 1
2θ 33.84, intensity 66.2, hkl 1 -1 2
2θ 34.15, intensity 26.7, hkl 0 0 3
2θ 34.55, intensity 32.0, hkl 0 2 -1
2θ 35.38, intensity 18.0, hkl 2 0 0
2θ 48.41, intensity 23.7, hkl 2 2 -1
2θ 52.75, intensity 17.4, hkl -1 1 4
2θ 53.29, intensity 19.1, hkl 1 -3 0
2θ 55.83, intensity 18.5, hkl -2 2 2
2θ 59.51, intensity 22.4, hkl 0 2 -4
2θ 62.53, intensity 29.6, hkl 3 1 -2

=====

(8)
Calculated X-ray powder pattern
Compound: MgFe10O16F4
Radiation: Cu Kα X-rays
Structure: a crystal structure in the Materials Project, relaxed with PBE+U
Peak positions follow from Bragg's law for the DFT cell and can differ from measured ones.

Cell lengths 4.946, 5.598, 12.726 Å; angles 100.63, 90.46, 91.55 degrees
Space group P1 (No. 1)
Inequivalent atoms, fractional coordinates:
1 Mg 0.000 0.000 0.000 x1
2 Fe 0.009 0.223 0.309 x1
3 Fe 0.018 0.521 0.876 x1
4 Fe 0.027 0.782 0.696 x1
5 Fe 0.034 0.004 0.500 x1
6 Fe 0.490 0.311 0.699 x1
7 Fe 0.492 0.084 0.902 x1
8 Fe 0.508 0.524 0.500 x1
9 Fe 0.513 0.948 0.116 x1
10 Fe 0.525 0.747 0.313 x1
11 Fe 0.924 0.457 0.113 x1
12 O 0.157 0.854 0.852 x1
13 O 0.190 0.063 0.641 x1
14 O 0.196 0.279 0.448 x1
15 O 0.334 0.785 0.439 x1
16 O 0.334 0.995 0.249 x1
17 O 0.335 0.571 0.639 x1
18 O 0.336 0.345 0.840 x1
19 O 0.337 0.176 0.051 x1
20 O 0.648 0.834 0.976 x1
21 O 0.655 0.676 0.169 x1
22 O 0.682 0.470 0.358 x1
23 O 0.820 0.522 0.748 x1
24 O 0.836 0.752 0.558 x1
25 O 0.837 0.965 0.369 x1
26 O 0.840 0.310 0.963 x1
27 O 0.849 0.152 0.159 x1
28 F 0.145 0.695 0.046 x1
29 F 0.170 0.505 0.244 x1
30 F 0.686 0.027 0.759 x1
31 F 0.688 0.242 0.557 x1

Peak list (12 most intense, 2θ from 10° to 90°, sorted by position)
2θ 25.69, intensity 100.0, hkl -1 1 1
2θ 26.49, intensity 99.1, hkl 1 1 1
2θ 35.26, intensity 25.8, hkl 1 -1 4
2θ 35.36, intensity 24.9, hkl 1 1 -4
2θ 35.63, intensity 26.9, hkl 0 2 -3
2θ 35.90, intensity 24.8, hkl 0 0 5
2θ 36.35, intensity 20.0, hkl 2 0 0
2θ 52.29, intensity 28.4, hkl 1 -3 2
2θ 52.76, intensity 27.9, hkl -1 1 6
2θ 53.20, intensity 15.5, hkl 1 3 -2
2θ 54.54, intensity 16.3, hkl 2 2 2
2θ 62.70, intensity 16.8, hkl 0 2 -8

=====

(9)
Calculated X-ray powder pattern
Compound: MgFe6O6F6
Radiation: Cu Kα X-rays
Structure: a crystal structure in the Materials Project, relaxed with PBE+U
Peak positions follow from Bragg's law for the DFT cell and can differ from measured ones.

Cell lengths 5.140, 5.735, 7.693 Å; angles 83.25, 85.79, 83.94 degrees
Space group P1 (No. 1)
Inequivalent atoms, fractional coordinates:
1 Mg 0.000 0.000 0.000 x1
2 Fe 0.050 0.401 0.201 x1
3 Fe 0.496 0.154 0.834 x1
4 Fe 0.502 0.484 0.493 x1
5 Fe 0.526 0.802 0.180 x1
6 Fe 0.988 0.604 0.818 x1
7 Fe 0.991 0.989 0.525 x1
8 O 0.151 0.314 0.947 x1
9 O 0.193 0.680 0.601 x1
10 O 0.347 0.515 0.275 x1
11 O 0.838 0.296 0.416 x1
12 O 0.845 0.960 0.764 x1
13 O 0.871 0.673 0.069 x1
14 F 0.165 0.011 0.251 x1
15 F 0.326 0.180 0.586 x1
16 F 0.337 0.831 0.935 x1
17 F 0.661 0.137 0.086 x1
18 F 0.676 0.470 0.738 x1
19 F 0.699 0.799 0.429 x1

Peak list (12 most intense, 2θ from 10° to 90°, sorted by position)
2θ 23.82, intensity 99.9, hkl 1 1 1
2θ 26.98, intensity 100.0, hkl -1 1 1
2θ 34.58, intensity 58.8, hkl 1 -1 2
2θ 34.98, intensity 28.6, hkl 0 2 -1
2θ 35.18, intensity 29.4, hkl 2 0 0
2θ 35.32, intensity 31.2, hkl 0 0 3
2θ 38.19, intensity 18.3, hkl 1 2 -1
2θ 49.80, intensity 20.4, hkl 1 3 0
2θ 50.38, intensity 20.9, hkl 1 1 4
2θ 53.75, intensity 20.0, hkl -1 1 4
2θ 55.63, intensity 18.3, hkl -2 2 2
2θ 61.57, intensity 19.8, hkl 0 2 -4